Hf6CoSb2: simulated PXRD pattern (Cu Kα), based on a DFT-relaxed cell (GGA-PBE, the Materials Project).
Lines closer than 0.1° are merged.

Largest 6 diffraction maxima, low angle first, 15 to 90 degrees two-theta:
Position (°2θ)  intensity
34.08  100
35.38  70
36.69  57
40.31  28
43.72  25
63.57  31

Atomic structure:
```
Hf6CoSb2
1.0
7.7505 0.0000 0.0000
-3.8753 6.7122 0.0000
0.0000 0.0000 3.5826
Hf Co Sb
6 1 2
Direct
0.0000 0.2390 0.0000
0.0000 0.6026 0.5000
0.2390 0.0000 0.0000
0.3974 0.3974 0.5000
0.6026 0.0000 0.5000
0.7610 0.7610 0.0000
0.0000 0.0000 0.5000
0.3333 0.6667 0.0000
0.6667 0.3333 0.0000
```

---

HfZrCo2Sb2: simulated PXRD pattern (Cu Kα), based on a DFT-relaxed cell (GGA-PBE, the Materials Project).
Lines closer than 0.1° are merged.

Largest 6 diffraction maxima, low angle first, 15 to 90 degrees two-theta:
Position (°2θ)  intensity
23.78  78
39.29  100
39.48  98
46.50  41
56.92  33
71.35  33

Atomic structure:
```
HfZrCo2Sb2
1.0
2.2931 1.3239 7.4379
-2.2931 1.3239 7.4379
0.0000 -2.6478 7.4379
Hf Zr Co Sb
1 1 2 2
Direct
0.0000 0.0000 0.0000
0.4988 0.4988 0.4988
0.1239 0.1239 0.1239
0.6254 0.6254 0.6254
0.3725 0.3725 0.3725
0.8752 0.8752 0.8752
```